Entry 1:
Calculated powder X-ray diffraction pattern of Pu2Sn3Pt4 for a wavelength of 1.5418 Å, from the GGA-PBE geometry in Alexandria.
No peak broadening, texture or thermal motion is included.

Structural model:
```
data_Pu2Sn3Pt4
_symmetry_space_group_name_H-M 'P 1'
_symmetry_Int_Tables_number 1
_cell_length_a 8.7218
_cell_length_b 8.7218
_cell_length_c 7.4805
_cell_angle_alpha 90.00
_cell_angle_beta 90.00
_cell_angle_gamma 137.97
loop_
_symmetry_equiv_pos_as_xyz
'x,y,z'
loop_
_atom_site_label
_atom_site_fract_x
_atom_site_fract_y
_atom_site_fract_z
Pu1 0.0939 0.9061 0.9032
Pu2 0.4061 0.5939 0.4032
Pu3 0.5939 0.4061 0.5968
Pu4 0.9061 0.0939 0.0968
Sn1 0.0000 0.0000 0.5000
Sn2 0.0108 0.4892 0.7500
Sn3 0.4892 0.0108 0.2500
Sn4 0.5000 0.5000 0.0000
Sn5 0.5108 0.9892 0.7500
Sn6 0.9892 0.5108 0.2500
Pt1 0.1687 0.8313 0.5226
Pt2 0.1810 0.3190 0.7500
Pt3 0.3190 0.1810 0.2500
Pt4 0.3313 0.6687 0.0226
Pt5 0.6687 0.3313 0.9774
Pt6 0.6810 0.8190 0.7500
Pt7 0.8190 0.6810 0.2500
Pt8 0.8313 0.1687 0.4774
```

The 10 most intense peaks (2θ = 15–90°), most intense first:
2θ/deg  I (rel.)
37.48  100
33.25  84
32.94  76
37.73  46
67.84  39
41.09  38
32.40  34
38.23  24
53.61  22
59.07  21

Entry 2:
Calculated powder X-ray diffraction pattern of PuSnPt5 for a wavelength of 1.5418 Å, from the GGA-PBE geometry in Alexandria.
No peak broadening, texture or thermal motion is included.

Structural model:
```
data_PuSnPt5
_symmetry_space_group_name_H-M 'P 1'
_symmetry_Int_Tables_number 1
_cell_length_a 8.7624
_cell_length_b 5.5105
_cell_length_c 10.8319
_cell_angle_alpha 90.00
_cell_angle_beta 90.00
_cell_angle_gamma 90.00
loop_
_symmetry_equiv_pos_as_xyz
'x,y,z'
loop_
_atom_site_label
_atom_site_fract_x
_atom_site_fract_y
_atom_site_fract_z
Pu1 0.2488 0.2500 0.0494
Pu2 0.2512 0.7500 0.5494
Pu3 0.7488 0.2500 0.4506
Pu4 0.7512 0.7500 0.9506
Sn1 0.1489 0.7500 0.8478
Sn2 0.3511 0.2500 0.3478
Sn3 0.6489 0.7500 0.6522
Sn4 0.8511 0.2500 0.1522
Pt1 0.0641 0.0069 0.3030
Pt2 0.0641 0.4931 0.3030
Pt3 0.0735 0.7500 0.0807
Pt4 0.1006 0.2500 0.5208
Pt5 0.1812 0.2500 0.7725
Pt6 0.3188 0.7500 0.2725
Pt7 0.3994 0.7500 0.0208
Pt8 0.4265 0.2500 0.5807
Pt9 0.4359 0.5069 0.8030
Pt10 0.4359 0.9931 0.8030
Pt11 0.5641 0.0069 0.1970
Pt12 0.5641 0.4931 0.1970
Pt13 0.5735 0.7500 0.4193
Pt14 0.6006 0.2500 0.9792
Pt15 0.6812 0.2500 0.7275
Pt16 0.8188 0.7500 0.2275
Pt17 0.8994 0.7500 0.4792
Pt18 0.9265 0.2500 0.9193
Pt19 0.9359 0.5069 0.6970
Pt20 0.9359 0.9931 0.6970
```

The 10 most intense peaks (2θ = 15–90°), most intense first:
2θ/deg  I (rel.)
35.77  100
42.54  82
34.67  64
36.12  55
39.52  42
42.08  41
36.59  39
43.03  36
38.61  29
32.50  27

Entry 3:
Calculated powder X-ray diffraction pattern of Sr2PuSn4Pt3 for a wavelength of 1.5418 Å, from the GGA-PBE geometry in Alexandria.
No peak broadening, texture or thermal motion is included.

Structural model:
```
data_Sr2PuSn4Pt3
_symmetry_space_group_name_H-M 'P 1'
_symmetry_Int_Tables_number 1
_cell_length_a 4.5223
_cell_length_b 4.5223
_cell_length_c 12.5296
_cell_angle_alpha 90.00
_cell_angle_beta 90.00
_cell_angle_gamma 90.00
loop_
_symmetry_equiv_pos_as_xyz
'x,y,z'
loop_
_atom_site_label
_atom_site_fract_x
_atom_site_fract_y
_atom_site_fract_z
Sr1 0.0000 0.5000 0.2293
Sr2 0.5000 0.0000 0.7707
Pu1 0.0000 0.0000 0.5000
Sn1 0.0000 0.0000 0.0000
Sn2 0.0000 0.5000 0.6653
Sn3 0.5000 0.0000 0.3347
Sn4 0.5000 0.5000 0.0000
Pt1 0.0000 0.5000 0.8778
Pt2 0.5000 0.0000 0.1222
Pt3 0.5000 0.5000 0.5000
```

The 10 most intense peaks (2θ = 15–90°), most intense first:
2θ/deg  I (rel.)
31.41  100
39.87  64
40.30  61
29.10  29
20.88  28
67.14  23
72.68  23
57.65  22
41.18  20
28.81  18

Entry 4:
Calculated powder X-ray diffraction pattern of SrPuPt4 for a wavelength of 1.5418 Å, from the GGA-PBE geometry in Alexandria.
No peak broadening, texture or thermal motion is included.

Structural model:
```
data_SrPuPt4
_symmetry_space_group_name_H-M 'P 1'
_symmetry_Int_Tables_number 1
_cell_length_a 5.5134
_cell_length_b 5.5134
_cell_length_c 5.5134
_cell_angle_alpha 60.00
_cell_angle_beta 60.00
_cell_angle_gamma 60.00
loop_
_symmetry_equiv_pos_as_xyz
'x,y,z'
loop_
_atom_site_label
_atom_site_fract_x
_atom_site_fract_y
_atom_site_fract_z
Sr1 0.0000 0.0000 0.0000
Pu1 0.7500 0.7500 0.7500
Pt1 0.3753 0.3753 0.3753
Pt2 0.3753 0.3753 0.8742
Pt3 0.3753 0.8742 0.3753
Pt4 0.8742 0.3753 0.3753
```

The 10 most intense peaks (2θ = 15–90°), most intense first:
2θ/deg  I (rel.)
38.29  100
40.06  47
61.83  34
68.02  29
32.48  21
81.97  18
19.72  16
80.84  12
57.94  8
46.59  7

Entry 5:
Calculated powder X-ray diffraction pattern of TbPu3Pt4 for a wavelength of 1.5418 Å, from the GGA-PBE geometry in Alexandria.
No peak broadening, texture or thermal motion is included.

Structural model:
```
data_TbPu3Pt4
_symmetry_space_group_name_H-M 'P 1'
_symmetry_Int_Tables_number 1
_cell_length_a 3.4676
_cell_length_b 3.4676
_cell_length_c 14.4116
_cell_angle_alpha 90.00
_cell_angle_beta 90.00
_cell_angle_gamma 90.00
loop_
_symmetry_equiv_pos_as_xyz
'x,y,z'
loop_
_atom_site_label
_atom_site_fract_x
_atom_site_fract_y
_atom_site_fract_z
Tb1 0.0000 0.0000 0.0000
Pu1 0.0000 0.0000 0.2496
Pu2 0.0000 0.0000 0.5000
Pu3 0.0000 0.0000 0.7504
Pt1 0.5000 0.5000 0.1194
Pt2 0.5000 0.5000 0.3740
Pt3 0.5000 0.5000 0.6260
Pt4 0.5000 0.5000 0.8806
```

The 10 most intense peaks (2θ = 15–90°), most intense first:
2θ/deg  I (rel.)
35.95  100
36.65  48
65.53  36
64.15  19
52.80  17
76.21  12
50.67  9
85.58  9
88.92  8
89.34  8

Entry 6:
Calculated powder X-ray diffraction pattern of TbPuPt2 for a wavelength of 1.5418 Å, from the GGA-PBE geometry in Alexandria.
No peak broadening, texture or thermal motion is included.

Structural model:
```
data_TbPuPt2
_symmetry_space_group_name_H-M 'P 1'
_symmetry_Int_Tables_number 1
_cell_length_a 6.9855
_cell_length_b 6.9855
_cell_length_c 6.9855
_cell_angle_alpha 34.26
_cell_angle_beta 34.26
_cell_angle_gamma 34.26
loop_
_symmetry_equiv_pos_as_xyz
'x,y,z'
loop_
_atom_site_label
_atom_site_fract_x
_atom_site_fract_y
_atom_site_fract_z
Tb1 0.0000 0.0000 0.0000
Pu1 0.5000 0.5000 0.5000
Pt1 0.2476 0.2476 0.2476
Pt2 0.7524 0.7524 0.7524
```

The 10 most intense peaks (2θ = 15–90°), most intense first:
2θ/deg  I (rel.)
30.97  100
44.01  39
44.72  37
54.79  21
72.79  18
73.83  17
81.44  13
64.55  13
80.93  7
55.99  6

Entry 7:
Calculated powder X-ray diffraction pattern of TbPuPt4 for a wavelength of 1.5418 Å, from the GGA-PBE geometry in Alexandria.
No peak broadening, texture or thermal motion is included.

Structural model:
```
data_TbPuPt4
_symmetry_space_group_name_H-M 'P 1'
_symmetry_Int_Tables_number 1
_cell_length_a 5.4536
_cell_length_b 5.4536
_cell_length_c 5.4536
_cell_angle_alpha 60.00
_cell_angle_beta 60.00
_cell_angle_gamma 60.00
loop_
_symmetry_equiv_pos_as_xyz
'x,y,z'
loop_
_atom_site_label
_atom_site_fract_x
_atom_site_fract_y
_atom_site_fract_z
Tb1 0.0000 0.0000 0.0000
Pu1 0.7500 0.7500 0.7500
Pt1 0.3751 0.3751 0.3751
Pt2 0.3751 0.3751 0.8746
Pt3 0.3751 0.8746 0.3751
Pt4 0.8746 0.3751 0.3751
```

The 10 most intense peaks (2θ = 15–90°), most intense first:
2θ/deg  I (rel.)
38.72  100
40.52  40
62.58  33
68.87  29
32.85  27
83.06  16
81.91  12
58.64  11
19.94  6
78.42  5

Entry 8:
Calculated powder X-ray diffraction pattern of PuTh2Pt4 for a wavelength of 1.5418 Å, from the GGA-PBE geometry in Alexandria.
No peak broadening, texture or thermal motion is included.

Structural model:
```
data_PuTh2Pt4
_symmetry_space_group_name_H-M 'P 1'
_symmetry_Int_Tables_number 1
_cell_length_a 7.5043
_cell_length_b 7.5043
_cell_length_c 7.5043
_cell_angle_alpha 108.85
_cell_angle_beta 108.85
_cell_angle_gamma 110.72
loop_
_symmetry_equiv_pos_as_xyz
'x,y,z'
loop_
_atom_site_label
_atom_site_fract_x
_atom_site_fract_y
_atom_site_fract_z
Pu1 0.0000 0.0000 0.0000
Pu2 0.7500 0.2500 0.5000
Th1 0.2535 0.1250 0.6285
Th2 0.3750 0.7465 0.8715
Th3 0.4965 0.6250 0.3715
Th4 0.8750 0.5035 0.1285
Pt1 0.1188 0.3696 0.4107
Pt2 0.1196 0.3688 0.9107
Pt3 0.2919 0.8812 0.2507
Pt4 0.4581 0.2089 0.0893
Pt5 0.6304 0.0411 0.7493
Pt6 0.6312 0.5419 0.7507
Pt7 0.7911 0.8804 0.2493
Pt8 0.9589 0.7081 0.5893
```

The 10 most intense peaks (2θ = 15–90°), most intense first:
2θ/deg  I (rel.)
32.46  100
33.13  46
38.85  41
39.19  41
38.65  40
51.48  18
66.00  15
25.08  11
49.43  11
69.85  9

Entry 9:
Calculated powder X-ray diffraction pattern of PuTi4Pt5 for a wavelength of 1.5418 Å, from the GGA-PBE geometry in Alexandria.
No peak broadening, texture or thermal motion is included.

Structural model:
```
data_PuTi4Pt5
_symmetry_space_group_name_H-M 'P 1'
_symmetry_Int_Tables_number 1
_cell_length_a 2.8247
_cell_length_b 3.7095
_cell_length_c 15.9946
_cell_angle_alpha 90.00
_cell_angle_beta 90.00
_cell_angle_gamma 90.00
loop_
_symmetry_equiv_pos_as_xyz
'x,y,z'
loop_
_atom_site_label
_atom_site_fract_x
_atom_site_fract_y
_atom_site_fract_z
Pu1 0.0000 0.0000 0.0000
Ti1 0.0000 0.0000 0.2181
Ti2 0.0000 0.0000 0.4068
Ti3 0.0000 0.0000 0.5932
Ti4 0.0000 0.0000 0.7819
Pt1 0.5000 0.5000 0.1308
Pt2 0.5000 0.5000 0.3164
Pt3 0.5000 0.5000 0.5000
Pt4 0.5000 0.5000 0.6836
Pt5 0.5000 0.5000 0.8692
```

The 10 most intense peaks (2θ = 15–90°), most intense first:
2θ/deg  I (rel.)
40.12  100
37.11  86
42.70  58
67.10  36
49.12  28
23.99  28
33.63  27
53.32  23
78.37  20
32.94  19

Entry 10:
Calculated powder X-ray diffraction pattern of Pu3TlPt8 for a wavelength of 1.5418 Å, from the GGA-PBE geometry in Alexandria.
No peak broadening, texture or thermal motion is included.

Structural model:
```
data_Pu3TlPt8
_symmetry_space_group_name_H-M 'P 1'
_symmetry_Int_Tables_number 1
_cell_length_a 5.4569
_cell_length_b 5.4569
_cell_length_c 8.9163
_cell_angle_alpha 90.00
_cell_angle_beta 90.00
_cell_angle_gamma 120.00
loop_
_symmetry_equiv_pos_as_xyz
'x,y,z'
loop_
_atom_site_label
_atom_site_fract_x
_atom_site_fract_y
_atom_site_fract_z
Pu1 0.0000 0.0000 0.0000
Pu2 0.0000 0.0000 0.3767
Pu3 0.3333 0.6667 0.8562
Tl1 0.3333 0.6667 0.4885
Pt1 0.0051 0.5025 0.1811
Pt2 0.3287 0.1643 0.6870
Pt3 0.4975 0.5025 0.1811
Pt4 0.4975 0.9949 0.1811
Pt5 0.6667 0.3333 0.4342
Pt6 0.6667 0.3333 0.9354
Pt7 0.8357 0.1643 0.6870
Pt8 0.8357 0.6713 0.6870
```

The 10 most intense peaks (2θ = 15–90°), most intense first:
2θ/deg  I (rel.)
38.69  100
39.45  84
35.69  73
32.82  33
65.59  32
60.47  31
62.53  30
68.82  29
40.47  17
43.34  16

Entry 11:
Calculated powder X-ray diffraction pattern of TmPu2Pt3 for a wavelength of 1.5418 Å, from the GGA-PBE geometry in Alexandria.
No peak broadening, texture or thermal motion is included.

Structural model:
```
data_TmPu2Pt3
_symmetry_space_group_name_H-M 'P 1'
_symmetry_Int_Tables_number 1
_cell_length_a 7.0220
_cell_length_b 7.0220
_cell_length_c 7.0220
_cell_angle_alpha 146.22
_cell_angle_beta 131.93
_cell_angle_gamma 60.04
loop_
_symmetry_equiv_pos_as_xyz
'x,y,z'
loop_
_atom_site_label
_atom_site_fract_x
_atom_site_fract_y
_atom_site_fract_z
Tm1 0.0000 0.0000 0.0000
Pu1 0.3350 0.3350 0.0000
Pu2 0.6650 0.6650 0.0000
Pt1 0.1667 0.6667 0.5000
Pt2 0.5000 0.0000 0.5000
Pt3 0.8333 0.3333 0.5000
```

The 10 most intense peaks (2θ = 15–90°), most intense first:
2θ/deg  I (rel.)
31.10  100
44.69  94
31.28  49
55.31  21
55.58  20
82.39  20
44.40  19
73.75  18
74.04  17
81.96  13

Entry 12:
Calculated powder X-ray diffraction pattern of Tm2PuPt9 for a wavelength of 1.5418 Å, from the GGA-PBE geometry in Alexandria.
No peak broadening, texture or thermal motion is included.

Structural model:
```
data_Tm2PuPt9
_symmetry_space_group_name_H-M 'P 1'
_symmetry_Int_Tables_number 1
_cell_length_a 4.1080
_cell_length_b 4.1080
_cell_length_c 12.3481
_cell_angle_alpha 90.00
_cell_angle_beta 90.00
_cell_angle_gamma 90.00
loop_
_symmetry_equiv_pos_as_xyz
'x,y,z'
loop_
_atom_site_label
_atom_site_fract_x
_atom_site_fract_y
_atom_site_fract_z
Tm1 0.0000 0.0000 0.1639
Tm2 0.0000 0.0000 0.8361
Pu1 0.0000 0.0000 0.5000
Pt1 0.0000 0.5000 0.0000
Pt2 0.0000 0.5000 0.3313
Pt3 0.0000 0.5000 0.6687
Pt4 0.5000 0.0000 0.0000
Pt5 0.5000 0.0000 0.3313
Pt6 0.5000 0.0000 0.6687
Pt7 0.5000 0.5000 0.1649
Pt8 0.5000 0.5000 0.5000
Pt9 0.5000 0.5000 0.8351
```

The 6 most intense peaks (2θ = 15–90°), most intense first:
2θ/deg  I (rel.)
37.91  100
44.06  49
64.07  33
76.97  26
76.84  13
81.03  11

Entry 13:
Calculated powder X-ray diffraction pattern of Pu6UPt5 for a wavelength of 1.5418 Å, from the GGA-PBE geometry in Alexandria.
No peak broadening, texture or thermal motion is included.

Structural model:
```
data_Pu6UPt5
_symmetry_space_group_name_H-M 'P 1'
_symmetry_Int_Tables_number 1
_cell_length_a 8.7370
_cell_length_b 8.7370
_cell_length_c 8.7370
_cell_angle_alpha 147.32
_cell_angle_beta 134.08
_cell_angle_gamma 57.49
loop_
_symmetry_equiv_pos_as_xyz
'x,y,z'
loop_
_atom_site_label
_atom_site_fract_x
_atom_site_fract_y
_atom_site_fract_z
Pu1 0.0724 0.3300 0.7424
Pu2 0.2380 0.0000 0.2380
Pu3 0.4124 0.6700 0.7424
Pu4 0.5876 0.3300 0.2576
Pu5 0.7620 0.0000 0.7620
Pu6 0.9276 0.6700 0.2576
U1 0.5000 0.5000 0.0000
Pt1 0.0000 0.5000 0.5000
Pt2 0.1710 0.1710 0.0000
Pt3 0.3452 0.8452 0.5000
Pt4 0.6548 0.1548 0.5000
Pt5 0.8290 0.8290 0.0000
```

The 10 most intense peaks (2θ = 15–90°), most intense first:
2θ/deg  I (rel.)
36.59  100
65.85  22
35.15  22
64.01  15
51.62  15
77.78  9
66.80  7
87.44  7
53.79  7
88.24  4